Structure and calculated powder XRD pattern of Pm3Be2Au9 (a crystal structure in Alexandria, relaxed with GGA-PBE; copper Kα).
Peak positions follow from Bragg's law for the DFT cell and can differ from measured ones.

Most intense lines, 2θ = 10–90°, in order of rising 2θ:
d (Å), 2θ/deg, intensity
4.250, 20.90, 23
2.650, 33.82, 67
2.626, 34.14, 83
2.612, 34.34, 41
2.537, 35.38, 23
2.519, 35.64, 100
2.423, 37.11, 84
2.324, 38.75, 32
2.005, 45.23, 40
1.989, 45.60, 27
1.788, 51.08, 42
1.378, 68.01, 19

Cell: 8.3232 8.3232 8.3232 Å, 146.16 115.79 74.60°
Fractional positions:
Pm 0.0000 0.0000 0.0000
Pm 0.2852 0.2852 0.0000
Pm 0.7148 0.7148 0.0000
Be 0.3670 0.5000 0.8670
Be 0.6330 0.5000 0.1330
Au 0.0423 0.3838 0.6586
Au 0.1359 0.8386 0.2974
Au 0.2748 0.6162 0.6586
Au 0.4588 0.1614 0.2974
Au 0.5000 0.0000 0.5000
Au 0.5412 0.8386 0.7026
Au 0.7252 0.3838 0.3414
Au 0.8641 0.1614 0.7026
Au 0.9577 0.6162 0.3414

=====

Structure and calculated powder XRD pattern of K2Al2P2O (a crystal structure in Alexandria, relaxed with GGA-PBE; copper Kα).
Peak positions follow from Bragg's law for the DFT cell and can differ from measured ones.

Most intense lines, 2θ = 10–90°, in order of rising 2θ:
d (Å), 2θ/deg, intensity
6.770, 13.08, 20
3.302, 27.01, 16
2.979, 30.00, 100
2.832, 31.59, 22
2.761, 32.43, 22
2.731, 32.80, 40
2.596, 34.56, 33
2.532, 35.45, 31
2.523, 35.58, 35
1.945, 46.69, 25
1.777, 51.43, 17
1.771, 51.61, 16

Cell: 6.0472 6.0472 7.7961 Å, 118.01 118.01 37.53°
Fractional positions:
K 0.0631 0.0631 0.3378
K 0.9369 0.9369 0.6622
Al 0.3299 0.3299 0.9461
Al 0.6701 0.6701 0.0539
P 0.2973 0.2973 0.2321
P 0.7027 0.7027 0.7679
O 0.5000 0.5000 0.0000